Diffraction record for Al2NiIO8. The powder diffractogram is computed, not measured: it uses DFT lattice parameters and positions (PBE+U) and Cu Ka.
Peak positions follow from Bragg's law for the DFT cell and can differ from measured ones.

Structure:
abc: 6.2375 6.4780 5.9540
angles: 90.00 90.00 90.00
Space group Cmmm (No. 65)
Symmetry-distinct sites (fractional):
Al 0.0000 0.0000 0.2426
Ni 0.0000 0.5000 0.0000
I 0.0000 0.5000 0.5000
O 0.0000 0.3038 0.2639
O 0.1874 0.0000 0.0000
O 0.1919 0.0000 0.5000

Main lines, low angle first (5° ≤ 2θ ≤ 70°):
19.76 deg, I = 100; 27.54 deg, I = 87; 28.62 deg, I = 81; 36.20 deg, I = 96; 41.19 deg, I = 53; 54.52 deg, I = 53